[1]
Calculated X-ray diffraction stick pattern
Compound: Hg2P3Cl
Radiation: copper Kα
Structure: the GGA-PBE geometry in the Materials Project
Kinematic intensities with the Lorentz-polarization factor, no thermal factor.

Top 6 peaks for 2θ = 10–90°, in order of rising 2θ:
| h k l | 2θ (°) | I/Imax |
| --- | --- | --- |
| 1 1 1 | 19.8 | 38.1 |
| 2 0 0 | 22.4 | 43.2 |
| 0 2 1 | 22.9 | 70.1 |
| 1 1 2 | 28.8 | 48.7 |
| 2 2 -1 | 31.1 | 100.0 |
| 2 2 1 | 33.4 | 30.8 |

Crystal structure
```
data_Hg2P3Cl
_space_group_name_H-M_alt 'C 1 2/c 1'
_space_group_IT_number 15
_space_group_name_Hall '-C 2yc'
_cell_length_a 8.015
_cell_length_b 8.973
_cell_length_c 7.780
_cell_angle_alpha 90.00
_cell_angle_beta 97.73
_cell_angle_gamma 90.00
loop_
_atom_site_label
_atom_site_fract_x
_atom_site_fract_y
_atom_site_fract_z
Hg1 0.226 0.136 0.171
P1 0.000 0.307 0.250
P2 0.116 0.443 0.473
Cl1 0.000 0.127 0.750
```


[2]
Calculated X-ray diffraction stick pattern
Compound: CeSe2
Radiation: copper Kα
Structure: the GGA-PBE geometry in the Materials Project
Kinematic intensities with the Lorentz-polarization factor, no thermal factor.

Top 6 peaks for 2θ = 10–90°, in order of rising 2θ:
| h k l | 2θ (°) | I/Imax |
| --- | --- | --- |
| 1 1 0 | 15.6 | 100.0 |
| 0 2 0 | 16.8 | 32.6 |
| 1 2 1 | 24.0 | 53.7 |
| 2 0 2 | 34.5 | 32.8 |
| 1 3 2 | 36.2 | 22.8 |
| 0 4 2 | 40.7 | 25.1 |

Crystal structure
```
data_CeSe2
_space_group_name_H-M_alt 'I b a m'
_space_group_IT_number 72
_space_group_name_Hall '-I 2 2c'
_cell_length_a 6.736
_cell_length_b 10.527
_cell_length_c 8.195
_cell_angle_alpha 90.00
_cell_angle_beta 90.00
_cell_angle_gamma 90.00
loop_
_atom_site_label
_atom_site_fract_x
_atom_site_fract_y
_atom_site_fract_z
Ce1 0.000 0.000 0.250
Se1 0.199 0.117 0.000
```